Record 1
# Rb2Sn6Au3
Simulated powder X-ray diffraction pattern, copper Kα. Input: a DFT-relaxed cell (GGA-PBE, Alexandria).

Structure:
abc: 8.6591 8.6591 4.9501
angles: 90.00 90.00 120.00
Space group P-62m (No. 189)
One atom of each set of equivalent atoms:
Rb (0.3333, 0.6667, 0.0000) (multiplicity 2)
Sn (0.0000, 0.2028, 0.0000) (multiplicity 3)
Sn (0.0000, 0.6822, 0.5000) (multiplicity 3)
Au (0.0000, 0.3562, 0.5000) (multiplicity 3)

Main lines, most intense first (10 to 90 degrees two-theta):
- 27.37 deg, I = 100
- 35.93 deg, I = 67
- 40.42 deg, I = 62
- 36.53 deg, I = 62
- 20.51 deg, I = 60
- 52.00 deg, I = 47
- 36.30 deg, I = 47
- 59.50 deg, I = 41
- 45.75 deg, I = 26
- 17.92 deg, I = 20

=====

Record 2
# PuZnGa2O8
Simulated powder X-ray diffraction pattern, copper Kα. Input: a DFT-relaxed cell (GGA-PBE, Alexandria).

Structure:
abc: 6.6596 6.9069 6.1171
angles: 90.00 90.00 90.00
Space group Cmmm (No. 65)
One atom of each set of equivalent atoms:
Pu (0.0000, 0.0000, 0.0000) (multiplicity 2)
Zn (0.0000, 0.0000, 0.5000) (multiplicity 2)
Ga (0.0000, 0.5000, 0.2605) (multiplicity 4)
O (0.0000, 0.1963, 0.2323) (multiplicity 8)
O (0.1868, 0.5000, 0.0000) (multiplicity 4)
O (0.1920, 0.5000, 0.5000) (multiplicity 4)

Main lines, most intense first (10 to 90 degrees two-theta):
- 34.79 deg, I = 100
- 25.80 deg, I = 72
- 26.77 deg, I = 67
- 23.58 deg, I = 48
- 52.64 deg, I = 47
- 51.55 deg, I = 46
- 18.51 deg, I = 33
- 37.52 deg, I = 31
- 14.48 deg, I = 31
- 65.95 deg, I = 27

=====

Record 3
# Pm3PrSm3
Simulated powder X-ray diffraction pattern, copper Kα. Input: a DFT-relaxed cell (GGA-PBE, Alexandria).

Structure:
abc: 8.8285 8.8285 22.2242
angles: 90.00 90.00 120.00
Space group R-3 (No. 148, hexagonal axes)
One atom of each set of equivalent atoms:
Pm (0.0520, 0.4486, 0.3806) (multiplicity 18)
Pr (0.0000, 0.0000, 0.1516) (multiplicity 6)
Sm (0.0031, 0.2345, 0.5588) (multiplicity 18)

Main lines, most intense first (10 to 90 degrees two-theta):
- 31.21 deg, I = 100
- 31.53 deg, I = 90
- 32.00 deg, I = 55
- 28.34 deg, I = 36
- 30.49 deg, I = 35
- 23.46 deg, I = 26
- 37.11 deg, I = 24
- 51.85 deg, I = 22
- 55.04 deg, I = 18
- 64.61 deg, I = 17

=====

Record 4
# Pm3Y2Pb3
Simulated powder X-ray diffraction pattern, copper Kα. Input: a DFT-relaxed cell (GGA-PBE, Alexandria).

Structure:
abc: 9.2272 9.2272 6.7450
angles: 90.00 90.00 120.00
Space group P6_3/mcm (No. 193)
One atom of each set of equivalent atoms:
Pm (0.0000, 0.2390, 0.2500) (multiplicity 6)
Y (0.3333, 0.6667, 0.0000) (multiplicity 4)
Pb (0.0000, 0.3972, 0.7500) (multiplicity 6)

Main lines, most intense first (10 to 90 degrees two-theta):
- 32.48 deg, I = 100
- 32.90 deg, I = 49
- 26.43 deg, I = 32
- 50.61 deg, I = 29
- 33.65 deg, I = 26
- 42.96 deg, I = 21
- 64.52 deg, I = 19
- 29.58 deg, I = 16
- 19.24 deg, I = 12
- 41.37 deg, I = 11

=====

Record 5
# PmSm3As3
Simulated powder X-ray diffraction pattern, copper Kα. Input: a DFT-relaxed cell (GGA-PBE, Alexandria).

Structure:
abc: 8.9342 8.9342 8.9342
angles: 90.00 90.00 90.00
Space group P2_13 (No. 198)
One atom of each set of equivalent atoms:
Pm (0.0663, 0.4337, 0.5663) (multiplicity 4)
Sm (0.0666, 0.5666, 0.9334) (multiplicity 4)
Sm (0.1838, 0.1838, 0.1838) (multiplicity 4)
Sm (0.1836, 0.8164, 0.3164) (multiplicity 4)
As (0.0002, 0.2508, 0.8754) (multiplicity 12)

Main lines, most intense first (10 to 90 degrees two-theta):
- 31.67 deg, I = 100
- 37.67 deg, I = 61
- 52.21 deg, I = 33
- 64.27 deg, I = 22
- 50.01 deg, I = 18
- 28.25 deg, I = 15
- 78.71 deg, I = 15
- 68.00 deg, I = 14
- 66.15 deg, I = 12
- 24.40 deg, I = 10

=====

Record 6
# Ac2AlPd4
Simulated powder X-ray diffraction pattern, copper Kα. Input: a DFT-relaxed cell (GGA-PBE, Alexandria).

Structure:
abc: 4.7196 4.7196 15.6470
angles: 90.00 90.00 90.00
Space group I4/mmm (No. 139)
One atom of each set of equivalent atoms:
Ac (0.0000, 0.0000, 0.1461) (multiplicity 4)
Al (0.0000, 0.0000, 0.5000) (multiplicity 2)
Pd (0.0000, 0.0000, 0.3445) (multiplicity 4)
Pd (0.0000, 0.5000, 0.0000) (multiplicity 4)

Main lines, most intense first (10 to 90 degrees two-theta):
- 35.35 deg, I = 100
- 38.14 deg, I = 63
- 29.09 deg, I = 47
- 26.71 deg, I = 43
- 52.28 deg, I = 37
- 34.39 deg, I = 32
- 67.13 deg, I = 31
- 55.03 deg, I = 22
- 25.45 deg, I = 21
- 65.93 deg, I = 21

=====

Record 7
# Er3Si4Ir2
Simulated powder X-ray diffraction pattern, copper Kα. Input: a DFT-relaxed cell (GGA-PBE, Alexandria).

Structure:
abc: 10.5776 4.1466 7.9487
angles: 90.00 108.25 90.00
Space group C2/m (No. 12)
One atom of each set of equivalent atoms:
Er (0.0000, 0.0000, 0.0000) (multiplicity 2)
Er (0.1186, 0.5000, 0.6996) (multiplicity 4)
Si (0.0915, 0.0000, 0.4069) (multiplicity 4)
Si (0.2192, 0.5000, 0.0743) (multiplicity 4)
Ir (0.1874, 0.5000, 0.3614) (multiplicity 4)

Main lines, most intense first (10 to 90 degrees two-theta):
- 34.43 deg, I = 100
- 31.21 deg, I = 60
- 35.68 deg, I = 47
- 36.23 deg, I = 42
- 43.66 deg, I = 41
- 43.49 deg, I = 37
- 27.33 deg, I = 35
- 11.72 deg, I = 32
- 39.24 deg, I = 28
- 40.46 deg, I = 24

=====

Record 8
# TbBr2
Simulated powder X-ray diffraction pattern, copper Kα. Input: a DFT-relaxed cell (GGA-PBE, Alexandria).

Structure:
abc: 3.8783 6.7178 31.2548
angles: 90.00 90.00 90.00
Space group C222_1 (No. 20)
One atom of each set of equivalent atoms:
Tb (0.2430, 0.0008, 0.1235) (multiplicity 8)
Br (0.2431, 0.3324, 0.9364) (multiplicity 8)
Br (0.2430, 0.3326, 0.8166) (multiplicity 8)

Main lines, most intense first (10 to 90 degrees two-theta):
- 11.32 deg, I = 100
- 46.91 deg, I = 32
- 37.24 deg, I = 30
- 33.38 deg, I = 30
- 35.24 deg, I = 28
- 30.21 deg, I = 27
- 27.16 deg, I = 21
- 59.96 deg, I = 20
- 28.93 deg, I = 19
- 46.47 deg, I = 16

=====

Record 9
# Sm6ZnAg5
Simulated powder X-ray diffraction pattern, copper Kα. Input: a DFT-relaxed cell (GGA-PBE, Alexandria).

Structure:
abc: 5.2523 7.3502 8.3030
angles: 90.00 108.49 90.00
Space group P2/m (No. 10)
One atom of each set of equivalent atoms:
Sm (0.0000, 0.2487, 0.0000) (multiplicity 2)
Sm (0.3348, 0.2486, 0.6684) (multiplicity 4)
Zn (0.5000, 0.0000, 0.0000) (multiplicity 1)
Ag (0.1632, 0.0000, 0.3285) (multiplicity 2)
Ag (0.1668, 0.5000, 0.3354) (multiplicity 2)
Ag (0.5000, 0.5000, 0.0000) (multiplicity 1)

Main lines, most intense first (10 to 90 degrees two-theta):
- 34.33 deg, I = 100
- 34.15 deg, I = 51
- 61.26 deg, I = 36
- 49.07 deg, I = 18
- 61.61 deg, I = 18
- 72.36 deg, I = 11
- 82.17 deg, I = 10
- 49.61 deg, I = 9
- 83.01 deg, I = 8
- 82.06 deg, I = 6

=====

Record 10
# CaPd3Au2
Simulated powder X-ray diffraction pattern, copper Kα. Input: a DFT-relaxed cell (GGA-PBE, Alexandria).

Structure:
abc: 5.8765 5.8765 21.3902
angles: 90.00 90.00 120.00
Space group R-3m (No. 166, hexagonal axes)
One atom of each set of equivalent atoms:
Ca (0.0000, 0.0000, 0.2152) (multiplicity 6)
Pd (0.0106, 0.5053, 0.2243) (multiplicity 18)
Au (0.0000, 0.0000, 0.0000) (multiplicity 3)
Au (0.0000, 0.5000, 0.0000) (multiplicity 9)

Main lines, most intense first (10 to 90 degrees two-theta):
- 39.21 deg, I = 100
- 41.28 deg, I = 83
- 35.53 deg, I = 59
- 12.41 deg, I = 48
- 37.85 deg, I = 45
- 76.18 deg, I = 35
- 63.30 deg, I = 30
- 49.45 deg, I = 26
- 67.83 deg, I = 21
- 72.11 deg, I = 15

=====

Record 11
# Pr2Er4TmSc
Simulated powder X-ray diffraction pattern, copper Kα. Input: a DFT-relaxed cell (GGA-PBE, Alexandria).

Structure:
abc: 5.0092 5.0092 9.9064
angles: 90.00 90.00 90.00
Space group P4/mmm (No. 123)
One atom of each set of equivalent atoms:
Pr (0.0000, 0.0000, 0.0000) (multiplicity 1)
Pr (0.5000, 0.5000, 0.5000) (multiplicity 1)
Er (0.0000, 0.5000, 0.2465) (multiplicity 4)
Tm (0.0000, 0.0000, 0.5000) (multiplicity 1)
Sc (0.5000, 0.5000, 0.0000) (multiplicity 1)

Main lines, most intense first (10 to 90 degrees two-theta):
- 31.04 deg, I = 100
- 35.85 deg, I = 34
- 61.45 deg, I = 28
- 51.92 deg, I = 24
- 36.27 deg, I = 16
- 62.02 deg, I = 14
- 64.71 deg, I = 12
- 51.61 deg, I = 12
- 84.82 deg, I = 12
- 84.32 deg, I = 6

=====

Record 12
# SmHoOsO6
Simulated powder X-ray diffraction pattern, copper Kα. Input: a DFT-relaxed cell (GGA-PBE, Alexandria).

Structure:
abc: 5.5023 5.5023 9.7750
angles: 90.00 90.00 120.00
Space group P-31c (No. 163)
One atom of each set of equivalent atoms:
Sm (0.0000, 0.0000, 0.0000) (multiplicity 2)
Ho (0.3333, 0.6667, 0.2500) (multiplicity 2)
Os (0.3333, 0.6667, 0.7500) (multiplicity 2)
O (0.0415, 0.3738, 0.6375) (multiplicity 12)

Main lines, most intense first (10 to 90 degrees two-theta):
- 26.12 deg, I = 100
- 32.55 deg, I = 55
- 49.92 deg, I = 47
- 42.20 deg, I = 27
- 54.28 deg, I = 27
- 18.15 deg, I = 17
- 58.07 deg, I = 17
- 37.51 deg, I = 16
- 80.05 deg, I = 11
- 70.74 deg, I = 11

=====

Please write out number 10 again, unchanged.
# CaPd3Au2
Simulated powder X-ray diffraction pattern, copper Kα. Input: a DFT-relaxed cell (GGA-PBE, Alexandria).

Structure:
abc: 5.8765 5.8765 21.3902
angles: 90.00 90.00 120.00
Space group R-3m (No. 166, hexagonal axes)
One atom of each set of equivalent atoms:
Ca (0.0000, 0.0000, 0.2152) (multiplicity 6)
Pd (0.0106, 0.5053, 0.2243) (multiplicity 18)
Au (0.0000, 0.0000, 0.0000) (multiplicity 3)
Au (0.0000, 0.5000, 0.0000) (multiplicity 9)

Main lines, most intense first (10 to 90 degrees two-theta):
- 39.21 deg, I = 100
- 41.28 deg, I = 83
- 35.53 deg, I = 59
- 12.41 deg, I = 48
- 37.85 deg, I = 45
- 76.18 deg, I = 35
- 63.30 deg, I = 30
- 49.45 deg, I = 26
- 67.83 deg, I = 21
- 72.11 deg, I = 15